[1]
Computed X-ray diffraction stick pattern of MgCo2P2O8F2 for Cu Kα (weighted mean of Kα1 and Kα2), from a crystal structure in the Materials Project, relaxed with GGA+U.
Peak positions follow from Bragg's law for the DFT cell and can differ from measured ones.

```
data_MgCo2P2O8F2
_chemical_formula_sum 'Mg1 Co2 P2 O8 F2'
_symmetry_space_group_name_H-M 'P 1'
_symmetry_Int_Tables_number 1
_cell_length_a 5.254
_cell_length_b 5.358
_cell_length_c 7.393
_cell_angle_alpha 108.64
_cell_angle_beta 107.61
_cell_angle_gamma 97.04
loop_
_symmetry_equiv_pos_as_xyz
'x,y,z'
loop_
_atom_site_label
_atom_site_type_symbol
_atom_site_fract_x
_atom_site_fract_y
_atom_site_fract_z
_atom_site_occupancy
Mg1 Mg 0.000 0.000 0.000 1
Co1 Co 0.502 0.823 0.229 1
Co2 Co 0.976 0.330 0.701 1
P1 P 0.396 0.423 0.460 1
P2 P 0.567 0.238 0.972 1
O1 O 0.232 0.442 0.604 1
O2 O 0.250 0.141 0.868 1
O3 O 0.308 0.126 0.295 1
O4 O 0.315 0.609 0.342 1
O5 O 0.647 0.548 0.096 1
O6 O 0.680 0.070 0.103 1
O7 O 0.704 0.511 0.596 1
O8 O 0.734 0.179 0.826 1
F1 F 0.131 0.672 0.968 1
F2 F 0.824 0.984 0.472 1
```

Principal peaks in the range 2θ = 10–90°, by angle:
| index | Position (°2θ) | I/Imax |
| --- | --- | --- |
| 0 1 -1 | 18.0 | 34 |
| 1 0 -1 | 18.4 | 38 |
| 1 -1 0 | 22.4 | 17 |
| 0 1 1 | 26.5 | 100 |
| 1 1 -2 | 28.9 | 57 |
| 1 -1 2 | 35.5 | 15 |
| 1 -2 1 | 36.6 | 17 |
| 1 -3 0 | 54.5 | 15 |

[2]
Computed X-ray diffraction stick pattern of MgTiCo2O6 for Cu Kα (weighted mean of Kα1 and Kα2), from a crystal structure in the Materials Project, relaxed with GGA+U.
Peak positions follow from Bragg's law for the DFT cell and can differ from measured ones.

```
data_MgTiCo2O6
_chemical_formula_sum 'Mg1 Ti1 Co2 O6'
_symmetry_space_group_name_H-M 'P 1'
_symmetry_Int_Tables_number 1
_cell_length_a 3.043
_cell_length_b 6.215
_cell_length_c 6.667
_cell_angle_alpha 74.47
_cell_angle_beta 77.58
_cell_angle_gamma 89.14
loop_
_symmetry_equiv_pos_as_xyz
'x,y,z'
loop_
_atom_site_label
_atom_site_type_symbol
_atom_site_fract_x
_atom_site_fract_y
_atom_site_fract_z
_atom_site_occupancy
Mg1 Mg 0.000 0.000 0.000 1
Ti1 Ti 0.971 0.303 0.238 1
Co1 Co 0.287 0.893 0.517 1
Co2 Co 0.638 0.563 0.837 1
O1 O 0.079 0.338 0.916 1
O2 O 0.134 0.780 0.842 1
O3 O 0.414 0.040 0.193 1
O4 O 0.467 0.484 0.205 1
O5 O 0.760 0.684 0.537 1
O6 O 0.810 0.119 0.512 1
```

Principal peaks in the range 2θ = 10–90°, by angle:
| index | Position (°2θ) | I/Imax |
| --- | --- | --- |
| 0 1 1 | 17.5 | 100 |
| 1 1 0 | 34.3 | 19 |
| 1 -1 1 | 35.1 | 18 |
| 0 1 -2 | 35.8 | 21 |
| 1 2 1 | 41.2 | 18 |
| 1 -2 0 | 41.9 | 17 |
| 0 0 3 | 43.3 | 15 |
| 2 0 1 | 60.9 | 12 |

[3]
Computed X-ray diffraction stick pattern of LiCoPO4 for Cu Kα (weighted mean of Kα1 and Kα2), from a crystal structure in the Materials Project, relaxed with GGA+U.
Peak positions follow from Bragg's law for the DFT cell and can differ from measured ones.

```
data_LiCoPO4
_chemical_formula_sum 'Li4 Co4 P4 O16'
_symmetry_space_group_name_H-M 'P n m a'
_symmetry_Int_Tables_number 62
_cell_length_a 10.197
_cell_length_b 6.026
_cell_length_c 4.763
_cell_angle_alpha 90.00
_cell_angle_beta 90.00
_cell_angle_gamma 90.00
loop_
_symmetry_equiv_pos_as_xyz
'x,y,z'
'-x,-y,-z'
'-x+1/2,-y,z+1/2'
'x+1/2,y,-z+1/2'
'x+1/2,-y+1/2,-z+1/2'
'-x+1/2,y+1/2,z+1/2'
'-x,y+1/2,-z'
'x,-y+1/2,z'
loop_
_atom_site_label
_atom_site_type_symbol
_atom_site_fract_x
_atom_site_fract_y
_atom_site_fract_z
_atom_site_occupancy
Li1 Li 0.000 0.000 0.000 1
Co1 Co 0.224 0.250 0.480 1
P1 P 0.093 0.750 0.412 1
O1 O 0.050 0.250 0.703 1
O2 O 0.100 0.750 0.734 1
O3 O 0.162 0.545 0.271 1
```

Principal peaks in the range 2θ = 10–90°, by angle:
| index | Position (°2θ) | I/Imax |
| --- | --- | --- |
| 2 0 0 | 17.4 | 34 |
| 1 0 1 | 20.6 | 46 |
| 1 1 1 | 25.4 | 85 |
| 0 2 0 | 29.7 | 69 |
| 3 1 1 | 35.7 | 100 |
| 1 2 1 | 36.4 | 26 |
| 2 2 2 | 52.1 | 35 |
| 3 3 1 | 56.6 | 24 |

Please write out number 3 again, unchanged.
Computed X-ray diffraction stick pattern of LiCoPO4 for Cu Kα (weighted mean of Kα1 and Kα2), from a crystal structure in the Materials Project, relaxed with GGA+U.
Peak positions follow from Bragg's law for the DFT cell and can differ from measured ones.

```
data_LiCoPO4
_chemical_formula_sum 'Li4 Co4 P4 O16'
_symmetry_space_group_name_H-M 'P n m a'
_symmetry_Int_Tables_number 62
_cell_length_a 10.197
_cell_length_b 6.026
_cell_length_c 4.763
_cell_angle_alpha 90.00
_cell_angle_beta 90.00
_cell_angle_gamma 90.00
loop_
_symmetry_equiv_pos_as_xyz
'x,y,z'
'-x,-y,-z'
'-x+1/2,-y,z+1/2'
'x+1/2,y,-z+1/2'
'x+1/2,-y+1/2,-z+1/2'
'-x+1/2,y+1/2,z+1/2'
'-x,y+1/2,-z'
'x,-y+1/2,z'
loop_
_atom_site_label
_atom_site_type_symbol
_atom_site_fract_x
_atom_site_fract_y
_atom_site_fract_z
_atom_site_occupancy
Li1 Li 0.000 0.000 0.000 1
Co1 Co 0.224 0.250 0.480 1
P1 P 0.093 0.750 0.412 1
O1 O 0.050 0.250 0.703 1
O2 O 0.100 0.750 0.734 1
O3 O 0.162 0.545 0.271 1
```

Principal peaks in the range 2θ = 10–90°, by angle:
| index | Position (°2θ) | I/Imax |
| --- | --- | --- |
| 2 0 0 | 17.4 | 34 |
| 1 0 1 | 20.6 | 46 |
| 1 1 1 | 25.4 | 85 |
| 0 2 0 | 29.7 | 69 |
| 3 1 1 | 35.7 | 100 |
| 1 2 1 | 36.4 | 26 |
| 2 2 2 | 52.1 | 35 |
| 3 3 1 | 56.6 | 24 |